[1]
For VZnCd, a cell relaxed with PBE gives the simulated powder diffractogram in this record (λ = 1.5418 Å (Cu Kα)).

Main lines, in order of rising 2θ (15 to 90 degrees two-theta):
d 2.742, 2θ = 32.66°, I 45
d 2.579, 2θ = 34.79°, I 23
d 2.459, 2θ = 36.53°, I 39
d 2.430, 2θ = 36.99°, I 16
d 2.320, 2θ = 38.82°, I 21
d 2.288, 2θ = 39.39°, I 98
d 2.253, 2θ = 40.01°, I 100
d 2.176, 2θ = 41.49°, I 16
d 2.097, 2θ = 43.14°, I 31
d 1.584, 2θ = 58.23°, I 20

Cell and atoms:
a b c (Å): 2.8095 2.8107 13.7168
angles (deg): 88.51 88.47 68.65
Fractional coordinates of all 6 atoms:
V 0.0000 0.0000 0.0000
V 0.4817 0.4899 0.1319
Zn 0.5057 0.5039 0.8462
Zn 0.9275 0.9375 0.2857
Cd 0.1766 0.1763 0.6677
Cd 0.5641 0.5686 0.4647

=====

[2]
For Pm3Sm4Th2, a cell relaxed with PBE gives the simulated powder diffractogram in this record (λ = 1.5418 Å (Cu Kα)).

Main lines, in order of rising 2θ (15 to 90 degrees two-theta):
d 3.007, 2θ = 29.71°, I 70
d 2.933, 2θ = 30.48°, I 100
d 2.918, 2θ = 30.64°, I 95
d 2.895, 2θ = 30.89°, I 91
d 2.739, 2θ = 32.70°, I 77
d 2.701, 2θ = 33.17°, I 78
d 2.275, 2θ = 39.62°, I 32
d 1.888, 2θ = 48.19°, I 35
d 1.603, 2θ = 57.49°, I 31
d 1.526, 2θ = 60.68°, I 29

Cell and atoms:
a b c (Å): 7.1491 8.5595 10.4749
angles (deg): 98.56 99.80 102.05
Fractional coordinates of all 18 atoms:
Pm 0.0295 0.1686 0.4481
Pm 0.2550 0.5026 0.9945
Pm 0.3615 0.1713 0.7697
Pm 0.6385 0.8287 0.2303
Pm 0.7450 0.4974 0.0055
Pm 0.9705 0.8314 0.5519
Sm 0.0645 0.8413 0.8931
Sm 0.1424 0.8317 0.2366
Sm 0.3283 0.4751 0.3369
Sm 0.4722 0.8343 0.5576
Sm 0.5278 0.1657 0.4424
Sm 0.6717 0.5249 0.6631
Sm 0.8576 0.1683 0.7634
Sm 0.9355 0.1587 0.1069
Th 0.1713 0.5267 0.6599
Th 0.4462 0.1602 0.1099
Th 0.5538 0.8398 0.8901
Th 0.8287 0.4733 0.3401

=====

[3]
For Pr2Sn6Ir, a cell relaxed with PBE gives the simulated powder diffractogram in this record (λ = 1.5418 Å (Cu Kα)).

Main lines, in order of rising 2θ (15 to 90 degrees two-theta):
d 4.300, 2θ = 20.66°, I 29
d 3.637, 2θ = 24.48°, I 55
d 2.695, 2θ = 33.25°, I 100
d 2.580, 2θ = 34.77°, I 47
d 2.385, 2θ = 37.71°, I 24
d 2.317, 2θ = 38.88°, I 37
d 2.308, 2θ = 39.03°, I 58
d 2.134, 2θ = 42.36°, I 35
d 2.037, 2θ = 44.49°, I 23
d 1.644, 2θ = 55.92°, I 25

Cell and atoms:
a b c (Å): 8.6623 8.6623 4.2674
angles (deg): 90.00 90.00 126.65
Fractional coordinates of all 9 atoms:
Pr 0.1857 0.8143 0.0000
Pr 0.8143 0.1857 0.0000
Sn 0.1599 0.4666 0.5000
Sn 0.2750 0.2750 0.0000
Sn 0.4666 0.1599 0.5000
Sn 0.5334 0.8401 0.5000
Sn 0.7250 0.7250 0.0000
Sn 0.8401 0.5334 0.5000
Ir 0.5000 0.5000 0.5000

=====

[4]
For Tb12Ni6Os, a cell relaxed with PBE gives the simulated powder diffractogram in this record (λ = 1.5418 Å (Cu Kα)).

Main lines, in order of rising 2θ (15 to 90 degrees two-theta):
d 3.021, 2θ = 29.57°, I 35
d 2.758, 2θ = 32.46°, I 39
d 2.553, 2θ = 35.15°, I 100
d 2.388, 2θ = 37.66°, I 17
d 2.252, 2θ = 40.04°, I 13
d 1.874, 2θ = 48.59°, I 15
d 1.638, 2θ = 56.14°, I 31
d 1.550, 2θ = 59.66°, I 32
d 1.351, 2θ = 69.58°, I 17
d 1.111, 2θ = 87.92°, I 13

Cell and atoms:
a b c (Å): 8.2738 8.2738 8.2738
angles (deg): 109.47 109.47 109.47
Fractional coordinates of all 19 atoms:
Tb 0.1136 0.2948 0.8187
Tb 0.1813 0.4761 0.2948
Tb 0.1813 0.8864 0.7052
Tb 0.2948 0.1813 0.4761
Tb 0.2948 0.8187 0.1136
Tb 0.4761 0.2948 0.1813
Tb 0.5239 0.7052 0.8187
Tb 0.7052 0.1813 0.8864
Tb 0.7052 0.8187 0.5239
Tb 0.8187 0.1136 0.2948
Tb 0.8187 0.5239 0.7052
Tb 0.8864 0.7052 0.1813
Ni 0.1273 0.5000 0.6273
Ni 0.3727 0.8727 0.5000
Ni 0.5000 0.3727 0.8727
Ni 0.5000 0.6273 0.1273
Ni 0.6273 0.1273 0.5000
Ni 0.8727 0.5000 0.3727
Os 0.0000 0.0000 0.0000